1.
Er4TlAsSe2: calculated XRD peak list (Cu Kα (λ = 1.5418 Å)), based on a crystal structure in Alexandria, relaxed with PBE.
Peak positions follow from Bragg's law for the DFT cell and can differ from measured ones.

Most intense lines, 2θ from 10° to 80°, most intense first:
d [Å]  intensity
2.923  100.0
2.941  51.1
2.077  37.8
2.069  37.8
2.110  19.6
1.669  19.3

Cell and atoms:
a = 7.2201 Å, b = 4.0522 Å, c = 7.2584 Å
α = 90.00°, β = 108.69°, γ = 90.00°
Space group P2/m (No. 10)
Unique sites:
Er 0.2423 0.0000 0.2409 (multiplicity 2)
Er 0.2549 0.5000 0.7611 (multiplicity 2)
Tl 0.0000 0.0000 0.5000 (multiplicity 1)
As 0.0000 0.5000 0.0000 (multiplicity 1)
Se 0.5000 0.0000 0.0000 (multiplicity 1)
Se 0.5000 0.5000 0.5000 (multiplicity 1)

2.
Sm2Y2Te2Se3: calculated XRD peak list (Cu Kα (λ = 1.5418 Å)), based on a crystal structure in Alexandria, relaxed with PBE.
Peak positions follow from Bragg's law for the DFT cell and can differ from measured ones.

Most intense lines, 2θ from 10° to 80°, most intense first:
d [Å]  intensity
2.808  100.0
2.760  56.3
1.969  42.1
1.986  26.3
3.969  21.4
1.256  13.8

Cell and atoms:
a = 5.6177 Å, b = 5.6177 Å, c = 15.8435 Å
α = 90.00°, β = 90.00°, γ = 90.00°
Space group I4/mmm (No. 139)
Unique sites:
Sm 0.0000 0.0000 0.1949 (multiplicity 4)
Y 0.0000 0.5000 0.0000 (multiplicity 4)
Te 0.0000 0.0000 0.3945 (multiplicity 4)
Se 0.0000 0.0000 0.0000 (multiplicity 2)
Se 0.0000 0.5000 0.2500 (multiplicity 4)

3.
Te3Pd7: calculated XRD peak list (Cu Kα (λ = 1.5418 Å)), based on a crystal structure in Alexandria, relaxed with PBE.
Peak positions follow from Bragg's law for the DFT cell and can differ from measured ones.

Most intense lines, 2θ from 10° to 80°, most intense first:
d [Å]  intensity
2.432  100.0
2.363  85.6
2.192  68.7
1.889  19.2
1.550  15.7
1.431  15.2

Cell and atoms:
a = 15.4539 Å, b = 4.3830 Å, c = 5.6754 Å
α = 90.00°, β = 108.98°, γ = 90.00°
Space group C2/m (No. 12)
Unique sites:
Te 0.0000 0.0000 0.0000 (multiplicity 2)
Te 0.1952 0.0000 0.6602 (multiplicity 4)
Pd 0.0000 0.0000 0.5000 (multiplicity 2)
Pd 0.0739 0.5000 0.2574 (multiplicity 4)
Pd 0.1180 0.5000 0.7848 (multiplicity 4)
Pd 0.1876 0.0000 0.1467 (multiplicity 4)